Structure and simulated PXRD pattern of CsCeBr2Cl (a structure optimized by DFT (PBE); Cu Kα (λ = 1.5418 Å)).
No peak broadening, texture or thermal motion is included.

```
data_CsCeBr2Cl
_cell_length_a 5.9609
_cell_length_b 5.9609
_cell_length_c 5.6244
_cell_angle_alpha 90.00
_cell_angle_beta 90.00
_cell_angle_gamma 90.00
_symmetry_space_group_name_H-M 'P 4 m m'
_symmetry_Int_Tables_number 99
_symmetry_space_group_name_Hall 'P 4 -2'
loop_
_atom_site_label
_atom_site_type_symbol
_atom_site_fract_x
_atom_site_fract_y
_atom_site_fract_z
_atom_site_occupancy
Cs1 Cs 0.0000 0.0000 0.0000 1
Ce1 Ce 0.5000 0.5000 0.5041 1
Br1 Br 0.0000 0.5000 0.5045 1
Cl1 Cl 0.5000 0.5000 0.0042 1
```

Top 10 peaks for 10° ≤ 2θ ≤ 80°, most intense first:
two_theta	I (rel.)	h k l
21.72	100	1 0 1
29.98	93	2 0 0
44.28	62	2 0 2
37.33	51	2 1 1
26.42	43	1 1 1
31.82	39	0 0 2
42.91	34	2 2 0
54.40	33	2 2 2
51.09	23	1 0 3
79.59	22	4 2 2

***

Structure and simulated PXRD pattern of Ce2CuS4Br (a structure optimized by DFT (PBE); Cu Kα (λ = 1.5418 Å)).
No peak broadening, texture or thermal motion is included.

```
data_Ce2CuS4Br
_cell_length_a 11.6701
_cell_length_b 3.9760
_cell_length_c 9.5122
_cell_angle_alpha 90.00
_cell_angle_beta 117.81
_cell_angle_gamma 90.00
_symmetry_space_group_name_H-M 'C 1 2/m 1'
_symmetry_Int_Tables_number 12
_symmetry_space_group_name_Hall '-C 2y'
loop_
_atom_site_label
_atom_site_type_symbol
_atom_site_fract_x
_atom_site_fract_y
_atom_site_fract_z
_atom_site_occupancy
Ce1 Ce 0.1949 0.0000 0.2777 1
Cu1 Cu 0.0000 0.0000 0.5000 1
S1 S 0.1156 0.5000 0.4150 1
S2 S 0.1634 0.0000 0.7574 1
Br1 Br 0.0000 0.5000 0.0000 1
```

Top 10 peaks for 10° ≤ 2θ ≤ 80°, most intense first:
two_theta	I (rel.)	h k l
33.50	100	3 1 -2
27.86	94	1 1 1
33.16	87	2 0 2
20.07	81	2 0 -2
15.39	77	2 0 -1
32.23	72	3 1 -1
34.49	64	3 1 0
36.79	53	1 1 -3
10.51	45	0 0 1
29.30	43	1 1 -2